# 1
The following is a theoretical X-ray diffraction stick pattern of SrDy2YS4. It was derived from a DFT-relaxed cell (GGA-PBE, Alexandria), using copper Kα.
Lines closer than 0.1° are merged.

Most intense lines, 2θ from 15° to 90°, sorted by position:
2θ 27.29, intensity 32.4, (2 0 0); 2θ 27.51, intensity 31.6, (1 1 -1); 2θ 31.75, intensity 100.0, (1 1 1); 2θ 45.52, intensity 47.5, (3 1 -1); 2θ 54.09, intensity 15.7, (0 2 2); 2θ 56.31, intensity 12.4, (4 0 0); 2θ 56.80, intensity 12.2, (2 2 -2); 2θ 75.43, intensity 20.8, (4 2 0)

Cell lengths 6.9147, 3.9644, 6.9157 Å; angles 90.00, 109.08, 90.00 degrees
Space group P2/m (No. 10)
Inequivalent atoms, fractional coordinates:
Sr1 0.0000 0.0000 0.0000
Dy1 0.0000 0.5000 0.5000
Dy2 0.5000 0.0000 0.5000
Y1 0.5000 0.5000 0.0000
S1 0.2547 0.0000 0.7434
S2 0.2621 0.5000 0.2631



# 2
The following is a theoretical X-ray diffraction stick pattern of BaFe2AsN2. It was derived from a DFT-relaxed cell (GGA-PBE, Alexandria), using copper Kα.
Lines closer than 0.1° are merged.

Most intense lines, 2θ from 15° to 90°, sorted by position:
2θ 24.14, intensity 100.0, (1 1 -1); 2θ 29.67, intensity 30.1, (2 0 0); 2θ 31.86, intensity 60.7, (0 1 2); 2θ 35.08, intensity 40.0, (2 1 0); 2θ 36.42, intensity 38.1, (1 0 -3); 2θ 36.69, intensity 40.2, (2 0 1); 2θ 44.03, intensity 39.0, (1 2 1); 2θ 49.45, intensity 37.3, (2 2 -2)

Cell lengths 6.4658, 4.8496, 7.4013 Å; angles 90.00, 111.38, 90.00 degrees
Space group P2_1/m (No. 11)
Inequivalent atoms, fractional coordinates:
Ba1 0.1810 0.2500 0.3494
Fe1 0.3601 0.9998 0.8106
As1 0.3040 0.7500 0.0640
N1 0.1529 0.2500 0.7242
N2 0.3798 0.7500 0.6473



# 3
The following is a theoretical X-ray diffraction stick pattern of CaIBr. It was derived from a DFT-relaxed cell (GGA-PBE, Alexandria), using copper Kα.
Lines closer than 0.1° are merged.

Most intense lines, 2θ from 15° to 90°, sorted by position:
2θ 23.80, intensity 31.8, (0 0 2); 2θ 24.06, intensity 38.6, (2 0 0); 2θ 25.02, intensity 60.8, (1 1 -1); 2θ 27.73, intensity 100.0, (1 1 1); 2θ 29.51, intensity 46.2, (2 0 -2); 2θ 40.77, intensity 30.9, (1 1 -3); 2θ 41.07, intensity 51.9, (0 2 0); 2θ 51.34, intensity 18.8, (2 2 -2)

Cell lengths 7.6317, 4.4004, 7.7161 Å; angles 90.00, 104.16, 90.00 degrees
Space group P2/m (No. 10)
Inequivalent atoms, fractional coordinates:
Ca1 0.0000 0.0000 0.0000
Ca2 0.5000 0.5000 0.0000
I1 0.2267 0.5000 0.2490
Br1 0.2823 0.0000 0.8028



# 4
The following is a theoretical X-ray diffraction stick pattern of Mn3GeI9. It was derived from a DFT-relaxed cell (GGA-PBE, Alexandria), using copper Kα.
Lines closer than 0.1° are merged.

Most intense lines, 2θ from 15° to 90°, sorted by position:
2θ 15.04, intensity 62.2, (1 1 1); 2θ 24.04, intensity 78.6, (5 1 -2); 2θ 24.65, intensity 63.8, (5 1 -3); 2θ 24.85, intensity 73.6, (2 0 2); 2θ 25.62, intensity 100.0, (2 2 -3); 2θ 26.41, intensity 78.6, (3 1 -4); 2θ 26.59, intensity 43.5, (1 3 -1); 2θ 28.81, intensity 38.9, (4 2 0)

Cell lengths 19.9170, 10.3443, 14.3786 Å; angles 90.00, 129.02, 90.00 degrees
Space group Cc (No. 9)
Inequivalent atoms, fractional coordinates:
Mn1 0.0000 0.0618 0.0000
Mn2 0.0962 0.3829 0.8920
Mn3 0.3683 0.0822 0.5437
Ge1 0.2295 0.2902 0.7126
I1 0.0800 0.1288 0.6581
I2 0.0882 0.4469 0.5241
I3 0.1261 0.1512 0.9961
I4 0.2295 0.4226 0.8969
I5 0.2369 0.1884 0.5177
I6 0.3297 0.0219 0.8501
I7 0.3651 0.4921 0.7801
I8 0.4297 0.1253 0.1925
I9 0.4889 0.2691 0.6356



# 5
The following is a theoretical X-ray diffraction stick pattern of Zn2C3. It was derived from a DFT-relaxed cell (GGA-PBE, Alexandria), using copper Kα.
Lines closer than 0.1° are merged.

Most intense lines, 2θ from 15° to 90°, sorted by position:
2θ 23.50, intensity 100.0, (0 2 2); 2θ 26.39, intensity 22.4, (1 1 3); 2θ 26.99, intensity 54.8, (0 0 4); 2θ 31.03, intensity 31.6, (2 0 2); 2θ 34.06, intensity 48.7, (2 2 0); 2θ 43.99, intensity 38.6, (2 2 4); 2θ 50.65, intensity 29.5, (2 4 2); 2θ 63.04, intensity 14.0, (4 2 2)

Cell lengths 6.4054, 9.2379, 13.2128 Å; angles 90.00, 90.00, 90.00 degrees
Space group Fddd (No. 70, origin choice 2)
Inequivalent atoms, fractional coordinates:
Zn1 0.1250 0.1250 0.3577
C1 0.1250 0.1250 0.6250
C2 0.1250 0.2671 0.6250



# 6
The following is a theoretical X-ray diffraction stick pattern of AcCuTc. It was derived from a DFT-relaxed cell (GGA-PBE, Alexandria), using copper Kα.
Lines closer than 0.1° are merged.

Most intense lines, 2θ from 15° to 90°, sorted by position:
2θ 24.76, intensity 56.3, (0 2 1); 2θ 29.02, intensity 34.8, (1 3 0); 2θ 33.74, intensity 54.0, (1 5 0); 2θ 34.05, intensity 32.9, (0 8 0); 2θ 34.68, intensity 77.0, (0 6 1); 2θ 35.45, intensity 100.0, (1 1 1); 2θ 46.68, intensity 32.3, (1 7 1); 2θ 65.39, intensity 24.4, (2 6 1)

Cell lengths 3.4227, 21.0629, 3.8257 Å; angles 90.00, 90.00, 90.00 degrees
Space group Cmcm (No. 63)
Inequivalent atoms, fractional coordinates:
Ac1 0.0000 0.1176 0.2500
Cu1 0.0000 0.4671 0.2500
Tc1 0.0000 0.2607 0.2500



# 7
The following is a theoretical X-ray diffraction stick pattern of Mg2Al3Ga5. It was derived from a DFT-relaxed cell (GGA-PBE, Alexandria), using copper Kα.
Lines closer than 0.1° are merged.

Most intense lines, 2θ from 15° to 90°, sorted by position:
2θ 15.70, intensity 59.8, (2 0 0); 2θ 22.57, intensity 50.5, (1 2 1); 2θ 33.92, intensity 95.2, (2 4 0); 2θ 34.27, intensity 91.7, (2 0 2); 2θ 43.04, intensity 100.0, (0 4 2); 2θ 44.13, intensity 52.8, (4 4 0); 2θ 44.41, intensity 52.9, (4 0 2); 2θ 45.62, intensity 41.1, (5 2 1)

Cell lengths 11.2855, 11.9639, 5.9065 Å; angles 90.00, 90.00, 90.00 degrees
Space group Ibam (No. 72)
Inequivalent atoms, fractional coordinates:
Mg1 0.2455 0.1220 0.0000
Al1 0.0000 0.0000 0.2500
Al2 0.1372 0.3710 0.0000
Ga1 0.0000 0.2429 0.2500
Ga2 0.0000 0.5000 0.2500
Ga3 0.1448 0.1192 0.5000



# 8
The following is a theoretical X-ray diffraction stick pattern of Mg2NF. It was derived from a DFT-relaxed cell (GGA-PBE, Alexandria), using copper Kα.
Lines closer than 0.1° are merged.

Most intense lines, 2θ from 15° to 90°, sorted by position:
2θ 27.73, intensity 100.0, (1 0 0); 2θ 35.13, intensity 14.2, (1 0 1); 2θ 43.03, intensity 35.4, (0 0 2); 2θ 49.05, intensity 68.9, (1 1 0); 2θ 51.97, intensity 28.8, (1 0 2); 2θ 57.28, intensity 10.3, (2 0 0); 2θ 67.27, intensity 46.1, (1 1 2); 2θ 74.25, intensity 8.4, (2 0 2)

Cell lengths 3.7144, 3.7144, 4.2038 Å; angles 90.00, 90.00, 120.00 degrees
Space group P-6m2 (No. 187)
Inequivalent atoms, fractional coordinates:
Mg1 0.0000 0.0000 0.0000
Mg2 0.3333 0.6667 0.5000
N1 0.3333 0.6667 0.0000
F1 0.0000 0.0000 0.5000